[1]
Computed powder diffraction line list
Compound: NaTb3Te4
Radiation: copper Kα
Structure: a structure optimized by DFT (GGA-PBE)
Peak positions follow from Bragg's law for the DFT cell and can differ from measured ones.

Most intense lines, 15 to 90 degrees two-theta, most intense first:
- 2θ 28.7, intensity 100
- 2θ 41.1, intensity 76
- 2θ 50.9, intensity 27
- 2θ 67.4, intensity 23
- 2θ 74.9, intensity 17
- 2θ 67.3, intensity 12
- 2θ 15.9, intensity 9
- 2θ 74.7, intensity 9
- 2θ 59.6, intensity 8
- 2θ 89.0, intensity 6

Structure:
```
NaTb3Te4
1.0
-3.1048 3.1048 6.2292
3.1048 -3.1048 6.2292
3.1048 3.1048 -6.2292
Na Tb Te
1 3 4
direct
0.0000 0.0000 0.0000
0.2500 0.7500 0.5000
0.5000 0.5000 0.0000
0.7500 0.2500 0.5000
0.0000 0.5000 0.5000
0.2494 0.2494 0.0000
0.5000 0.0000 0.5000
0.7506 0.7506 0.0000
```


[2]
Computed powder diffraction line list
Compound: NaTb5Te8
Radiation: copper Kα
Structure: a structure optimized by DFT (GGA-PBE)
Peak positions follow from Bragg's law for the DFT cell and can differ from measured ones.

Most intense lines, 15 to 90 degrees two-theta, most intense first:
- 2θ 39.5, intensity 100
- 2θ 27.7, intensity 85
- 2θ 22.9, intensity 48
- 2θ 36.2, intensity 36
- 2θ 71.7, intensity 30
- 2θ 64.6, intensity 26
- 2θ 48.9, intensity 22
- 2θ 57.1, intensity 16
- 2θ 76.4, intensity 14
- 2θ 54.7, intensity 12

Structure:
```
NaTb5Te8
1.0
0.0000 6.4494 6.4494
6.4494 0.0000 6.4494
6.4494 6.4494 0.0000
Na Tb Te
1 5 8
direct
0.0000 0.0000 0.0000
0.3697 0.3697 0.3697
0.3697 0.3697 0.8910
0.3697 0.8910 0.3697
0.7500 0.7500 0.7500
0.8910 0.3697 0.3697
0.1336 0.1336 0.1336
0.1336 0.1336 0.5992
0.1336 0.5992 0.1336
0.1504 0.6165 0.6165
0.5992 0.1336 0.1336
0.6165 0.1504 0.6165
0.6165 0.6165 0.1504
0.6165 0.6165 0.6165
```